For Al4InTe7, a DFT-relaxed cell (GGA-PBE, Alexandria) gives the computed PXRD pattern in this record (Cu Kα (λ = 1.5418 Å)).
No peak broadening, texture or thermal motion is included.

Cell and atoms:
Cell lengths 17.2673, 7.1408, 6.9694 Å; angles 90.00, 90.00, 90.00 degrees
Space group Pmn2_1 (No. 31)
Inequivalent atoms, fractional coordinates:
Al: 0.1221 0.1492 0.0000 (multiplicity 4)
Al: 0.2488 0.3406 0.4884 (multiplicity 4)
In: 0.0000 0.5653 0.1697 (multiplicity 2)
Te: 0.0000 0.3060 0.8317 (multiplicity 2)
Te: 0.1133 0.2179 0.3703 (multiplicity 4)
Te: 0.1170 0.7977 0.8844 (multiplicity 4)
Te: 0.2455 0.6992 0.3751 (multiplicity 4)

Peak list (10 most intense, 2θ = 10–90°, in order of rising 2θ)
d [Å]  Rel. int.  (hkl)
3.694  20  4 1 0
3.570  25  0 2 0
3.485  29  0 0 2
3.264  100  4 1 1
3.178  16  0 2 1
2.494  26  0 2 2
2.158  14  8 0 0
1.967  26  4 1 3
1.789  13  4 3 2
1.632  15  8 2 2

For Ti4NbN4, a DFT-relaxed cell (GGA-PBE, Alexandria) gives the computed PXRD pattern in this record (Cu Kα (λ = 1.5418 Å)).
No peak broadening, texture or thermal motion is included.

Cell and atoms:
Cell lengths 9.5465, 4.2811, 6.7466 Å; angles 90.00, 134.95, 90.00 degrees
Space group C2/m (No. 12)
Inequivalent atoms, fractional coordinates:
Ti: 0.1052 0.0000 0.4150 (multiplicity 4)
Ti: 0.1900 0.5000 0.7952 (multiplicity 4)
Nb: 0.0000 0.5000 0.0000 (multiplicity 2)
N: 0.1030 0.5000 0.4089 (multiplicity 4)
N: 0.1945 0.0000 0.7975 (multiplicity 4)

Peak list (10 most intense, 2θ = 10–90°, in order of rising 2θ)
d [Å]  Rel. int.  (hkl)
3.616  24  1 1 0
2.467  100  1 1 1
2.138  66  0 2 0
2.134  33  2 0 -3
1.511  48  4 2 -1
1.509  9  6 0 -4
1.290  12  1 3 1
1.288  18  5 1 0
1.287  6  5 1 -5
1.234  18  2 2 2

For Pu2TlBi2, a DFT-relaxed cell (GGA-PBE, Alexandria) gives the computed PXRD pattern in this record (Cu Kα (λ = 1.5418 Å)).
No peak broadening, texture or thermal motion is included.

Cell and atoms:
Cell lengths 5.5262, 5.5262, 6.4659 Å; angles 90.00, 90.00, 120.00 degrees
Space group P-3m1 (No. 164)
Inequivalent atoms, fractional coordinates:
Pu: 0.3333 0.6667 0.2259 (multiplicity 2)
Tl: 0.0000 0.0000 0.0000 (multiplicity 1)
Bi: 0.3333 0.6667 0.7195 (multiplicity 2)

Peak list (10 most intense, 2θ = 10–90°, in order of rising 2θ)
d [Å]  Rel. int.  (hkl)
4.786  19  1 0 0
3.847  17  0 1 1
3.233  17  0 0 2
2.763  100  1 1 0
2.679  70  0 1 2
2.100  32  1 1 2
1.923  27  2 0 2
1.595  20  3 0 0
1.579  29  1 2 2
1.395  17  1 1 4

For Sr3MgPb3, a DFT-relaxed cell (GGA-PBE, Alexandria) gives the computed PXRD pattern in this record (Cu Kα (λ = 1.5418 Å)).
No peak broadening, texture or thermal motion is included.

Cell and atoms:
Cell lengths 12.5038, 5.1089, 16.2471 Å; angles 90.00, 110.23, 90.00 degrees
Space group C2/m (No. 12)
Inequivalent atoms, fractional coordinates:
Sr: 0.0219 0.0000 0.3803 (multiplicity 4)
Sr: 0.0949 0.0000 0.9200 (multiplicity 4)
Sr: 0.2375 0.0000 0.2247 (multiplicity 4)
Mg: 0.2350 0.5000 0.4059 (multiplicity 4)
Pb: 0.0316 0.5000 0.2359 (multiplicity 4)
Pb: 0.1202 0.5000 0.0749 (multiplicity 4)
Pb: 0.1332 0.5000 0.5512 (multiplicity 4)

Peak list (10 most intense, 2θ = 10–90°, in order of rising 2θ)
d [Å]  Rel. int.  (hkl)
4.684  63  1 1 0
3.766  24  1 1 2
3.224  57  3 1 -1
3.179  100  1 1 -4
3.123  42  4 0 -2
2.816  49  3 1 -4
2.634  89  3 1 2
2.554  69  0 2 0
2.541  26  0 0 6
1.977  23  4 2 -2

For Er3RhI3, a DFT-relaxed cell (GGA-PBE, Alexandria) gives the computed PXRD pattern in this record (Cu Kα (λ = 1.5418 Å)).
No peak broadening, texture or thermal motion is included.

Cell and atoms:
Cell lengths 8.8592, 4.1722, 12.2869 Å; angles 90.00, 93.66, 90.00 degrees
Space group P2_1/m (No. 11)
Inequivalent atoms, fractional coordinates:
Er: 0.0972 0.2500 0.3151 (multiplicity 2)
Er: 0.1387 0.2500 0.8708 (multiplicity 2)
Er: 0.2532 0.7500 0.1010 (multiplicity 2)
Rh: 0.0514 0.2500 0.0920 (multiplicity 2)
I: 0.1429 0.2500 0.6060 (multiplicity 2)
I: 0.3528 0.7500 0.3626 (multiplicity 2)
I: 0.4262 0.7500 0.8664 (multiplicity 2)

Peak list (10 most intense, 2θ = 10–90°, in order of rising 2θ)
d [Å]  Rel. int.  (hkl)
8.841  58  1 0 0
3.065  52  0 0 4
3.034  100  2 1 0
2.976  18  2 1 -1
2.918  34  0 1 3
2.409  21  3 1 0
2.206  45  2 1 -4
2.199  18  4 0 -1
2.086  32  0 2 0
1.725  20  0 2 4

For Be2HAu, a DFT-relaxed cell (GGA-PBE, Alexandria) gives the computed PXRD pattern in this record (Cu Kα (λ = 1.5418 Å)).
No peak broadening, texture or thermal motion is included.

Cell and atoms:
Cell lengths 4.9104, 4.9104, 6.2991 Å; angles 90.00, 90.00, 90.00 degrees
Space group I-42d (No. 122)
Inequivalent atoms, fractional coordinates:
Be: 0.1001 0.2500 0.1250 (multiplicity 8)
H: 0.0000 0.0000 0.0000 (multiplicity 4)
Au: 0.0000 0.0000 0.5000 (multiplicity 4)

Peak list (10 most intense, 2θ = 10–90°, in order of rising 2θ)
d [Å]  Rel. int.  (hkl)
3.873  100  1 0 1
2.455  34  2 0 0
2.333  61  1 1 2
2.074  45  2 1 1
1.931  18  1 0 3
1.736  12  2 2 0
1.518  15  2 1 3
1.393  24  3 1 2
1.331  10  3 2 1
1.326  11  2 0 4